Record 1
# Pm12Ir6Ru
Simulated powder diffractogram, CuKα. Input: a GGA-PBE-relaxed structure.
No peak broadening, texture or thermal motion is included.

The 10 most intense peaks (2θ from 10° to 80°), most intense first:
d/Å, intensity
2.402, 100
3.923, 57
2.049, 24
2.711, 19
2.837, 16
1.388, 12
1.699, 12
6.362, 8
3.181, 8
2.680, 7

Structural model:
abc: 8.324 8.324 8.324
angles: 99.68 99.68 99.68
Sites, in units of the cell vectors:
Pm1 0.047 0.924 0.678
Pm2 0.076 0.322 0.953
Pm3 0.176 0.582 0.420
Pm4 0.322 0.953 0.076
Pm5 0.418 0.580 0.824
Pm6 0.420 0.176 0.582
Pm7 0.580 0.824 0.418
Pm8 0.582 0.420 0.176
Pm9 0.678 0.047 0.924
Pm10 0.824 0.418 0.580
Pm11 0.924 0.678 0.047
Pm12 0.953 0.076 0.322
Ir1 0.135 0.308 0.618
Ir2 0.308 0.618 0.135
Ir3 0.382 0.865 0.692
Ir4 0.618 0.135 0.308
Ir5 0.692 0.382 0.865
Ir6 0.865 0.692 0.382
Ru1 0.000 0.000 0.000

***

Record 2
# Pm6Ir2Ru
Simulated powder diffractogram, CuKα. Input: a GGA-PBE-relaxed structure.
No peak broadening, texture or thermal motion is included.

The 10 most intense peaks (2θ from 10° to 80°), most intense first:
d/Å, intensity
2.482, 100
2.927, 91
2.753, 85
2.740, 79
2.344, 74
3.006, 59
3.102, 55
2.944, 54
1.964, 48
2.424, 48

Structural model:
abc: 6.775 7.495 11.876
angles: 90.00 123.24 90.00
Sites, in units of the cell vectors:
Pm1 0.087 0.045 0.245
Pm2 0.087 0.455 0.745
Pm3 0.238 0.668 0.078
Pm4 0.238 0.832 0.578
Pm5 0.390 0.175 0.066
Pm6 0.390 0.325 0.566
Pm7 0.610 0.675 0.434
Pm8 0.610 0.825 0.934
Pm9 0.762 0.168 0.422
Pm10 0.762 0.332 0.922
Pm11 0.913 0.545 0.255
Pm12 0.913 0.955 0.755
Ir1 0.314 0.121 0.771
Ir2 0.314 0.379 0.271
Ir3 0.686 0.621 0.729
Ir4 0.686 0.879 0.229
Ru1 0.500 0.000 0.500
Ru2 0.500 0.500 0.000

***

Record 3
# Pm12SbIr6
Simulated powder diffractogram, CuKα. Input: a GGA-PBE-relaxed structure.
No peak broadening, texture or thermal motion is included.

The 10 most intense peaks (2θ from 10° to 80°), most intense first:
d/Å, intensity
2.734, 100
2.006, 36
2.953, 21
1.659, 19
7.233, 19
1.705, 16
1.447, 15
5.115, 15
1.754, 13
2.557, 13

Structural model:
abc: 8.859 8.859 8.859
angles: 109.47 109.47 109.47
Sites, in units of the cell vectors:
Pm1 0.113 0.304 0.809
Pm2 0.191 0.495 0.304
Pm3 0.191 0.887 0.696
Pm4 0.304 0.191 0.495
Pm5 0.304 0.809 0.113
Pm6 0.495 0.304 0.191
Pm7 0.505 0.696 0.809
Pm8 0.696 0.191 0.887
Pm9 0.696 0.809 0.505
Pm10 0.809 0.113 0.304
Pm11 0.809 0.505 0.696
Pm12 0.887 0.696 0.191
Sb1 0.000 0.000 0.000
Ir1 0.126 0.500 0.626
Ir2 0.374 0.874 0.500
Ir3 0.500 0.374 0.874
Ir4 0.500 0.626 0.126
Ir5 0.626 0.126 0.500
Ir6 0.874 0.500 0.374

***

Record 4
# Pm4ScIr3
Simulated powder diffractogram, CuKα. Input: a GGA-PBE-relaxed structure.
No peak broadening, texture or thermal motion is included.

The 10 most intense peaks (2θ from 10° to 80°), most intense first:
d/Å, intensity
2.755, 100
2.470, 89
2.498, 51
2.650, 41
3.011, 39
1.399, 38
2.394, 36
1.961, 29
2.047, 26
1.613, 24

Structural model:
abc: 8.452 8.452 8.452
angles: 97.29 97.29 138.26
Sites, in units of the cell vectors:
Pm1 0.083 0.785 0.868
Pm2 0.215 0.083 0.297
Pm3 0.285 0.583 0.868
Pm4 0.417 0.285 0.703
Pm5 0.583 0.715 0.297
Pm6 0.715 0.417 0.132
Pm7 0.785 0.917 0.703
Pm8 0.917 0.215 0.132
Sc1 0.250 0.750 0.500
Sc2 0.750 0.250 0.500
Ir1 0.146 0.354 0.500
Ir2 0.250 0.250 0.000
Ir3 0.354 0.854 0.209
Ir4 0.646 0.146 0.791
Ir5 0.750 0.750 0.000
Ir6 0.854 0.646 0.500

***

Record 5
# Pm3Si2Ir7
Simulated powder diffractogram, CuKα. Input: a GGA-PBE-relaxed structure.
No peak broadening, texture or thermal motion is included.

The 10 most intense peaks (2θ from 10° to 80°), most intense first:
d/Å, intensity
2.279, 100
2.383, 82
2.554, 51
2.349, 51
2.146, 47
1.383, 40
2.800, 35
1.400, 33
1.967, 30
1.484, 26

Structural model:
abc: 8.662 8.662 8.662
angles: 37.24 37.24 37.24
Sites, in units of the cell vectors:
Pm1 0.000 0.000 0.000
Pm2 0.142 0.142 0.142
Pm3 0.858 0.858 0.858
Si1 0.335 0.335 0.335
Si2 0.665 0.665 0.665
Ir1 0.076 0.577 0.577
Ir2 0.423 0.423 0.924
Ir3 0.423 0.924 0.423
Ir4 0.500 0.500 0.500
Ir5 0.577 0.076 0.577
Ir6 0.577 0.577 0.076
Ir7 0.924 0.423 0.423

***

Record 6
# PmSi3Ir
Simulated powder diffractogram, CuKα. Input: a GGA-PBE-relaxed structure.
No peak broadening, texture or thermal motion is included.

The 10 most intense peaks (2θ from 10° to 80°), most intense first:
d/Å, intensity
2.596, 100
2.999, 63
1.642, 55
3.896, 52
2.121, 45
2.562, 42
4.925, 22
1.298, 19
1.787, 18
1.440, 17

Structural model:
abc: 4.241 4.241 9.850
angles: 90.00 90.00 90.00
Sites, in units of the cell vectors:
Pm1 0.000 0.000 0.000
Pm2 0.500 0.500 0.500
Si1 0.000 0.000 0.415
Si2 0.000 0.500 0.265
Si3 0.000 0.500 0.765
Si4 0.500 0.000 0.265
Si5 0.500 0.000 0.765
Si6 0.500 0.500 0.915
Ir1 0.000 0.000 0.655
Ir2 0.500 0.500 0.155

***

Record 7
# Pm2Y2Si4Ir
Simulated powder diffractogram, CuKα. Input: a GGA-PBE-relaxed structure.
No peak broadening, texture or thermal motion is included.

The 10 most intense peaks (2θ from 10° to 80°), most intense first:
d/Å, intensity
3.432, 100
2.427, 80
3.229, 71
2.658, 43
2.102, 43
2.689, 43
1.940, 35
1.716, 28
5.377, 27
1.615, 27

Structural model:
abc: 6.501 6.501 6.501
angles: 116.26 116.26 96.60
Sites, in units of the cell vectors:
Pm1 0.250 0.750 0.500
Pm2 0.750 0.250 0.500
Y1 0.188 0.188 0.000
Y2 0.812 0.812 0.000
Si1 0.252 0.252 0.505
Si2 0.252 0.748 0.000
Si3 0.748 0.252 0.000
Si4 0.748 0.748 0.495
Ir1 0.500 0.500 0.000

***

Record 8
# Pm2ZrSi4Ir3
Simulated powder diffractogram, CuKα. Input: a GGA-PBE-relaxed structure.
No peak broadening, texture or thermal motion is included.

The 10 most intense peaks (2θ from 10° to 80°), most intense first:
d/Å, intensity
2.697, 100
2.578, 90
2.842, 77
2.086, 74
1.650, 46
3.279, 37
3.534, 29
1.890, 26
2.950, 26
1.475, 24

Structural model:
abc: 4.172 4.172 10.603
angles: 90.00 90.00 90.00
Sites, in units of the cell vectors:
Pm1 0.000 0.500 0.236
Pm2 0.500 0.000 0.764
Zr1 0.000 0.000 0.500
Si1 0.000 0.000 0.000
Si2 0.000 0.500 0.656
Si3 0.500 0.000 0.344
Si4 0.500 0.500 0.000
Ir1 0.000 0.500 0.883
Ir2 0.500 0.000 0.117
Ir3 0.500 0.500 0.500